Starting from DFT lattice parameters and positions (GGA+U), the XRD peak list of LiV6O7F5 was computed for Cu Kα (λ = 1.5418 Å).
Peak positions follow from Bragg's law for the DFT cell and can differ from measured ones.

Structural model:
Cell lengths 5.6593, 5.7423, 7.4896 Å; angles 70.87, 71.83, 72.31 degrees
Element x y z (fractional)
Li 0.0000 0.0000 0.0000
V 0.0228 0.5475 0.9548
V 0.0369 0.5005 0.4660
V 0.3223 0.8510 0.6251
V 0.4191 0.8426 0.1607
V 0.6602 0.2095 0.7932
V 0.6716 0.2111 0.3130
O 0.2501 0.7432 0.4344
O 0.3220 0.2106 0.4695
O 0.3797 0.5087 0.8086
O 0.6298 0.0898 0.0979
O 0.6808 0.5541 0.1355
O 0.7823 0.3005 0.5062
O 0.9614 0.8946 0.7997
F 0.0781 0.1688 0.1398
F 0.1239 0.6586 0.1583
F 0.4062 0.9772 0.8554
F 0.7193 0.8191 0.4765
F 0.9331 0.4042 0.7709

Principal peaks in the range 2θ = 10–90°, by intensity:
26.15 deg, intensity 1000; 26.51 deg, intensity 996; 34.61 deg, intensity 540; 34.40 deg, intensity 484; 51.91 deg, intensity 411; 51.50 deg, intensity 293; 39.57 deg, intensity 274; 65.27 deg, intensity 272; 39.32 deg, intensity 223; 59.75 deg, intensity 200; 54.59 deg, intensity 183; 66.35 deg, intensity 183